# 1
The following is a simulated X-ray diffraction stick pattern of K2H4Pt. It was derived from a structure optimized by DFT (PBE), using Cu Kα (weighted mean of Kα1 and Kα2).

Crystal structure
Cell lengths 5.6369, 5.6369, 8.2037 Å; angles 90.00, 90.00, 90.00 degrees
Fractional coordinates of all 14 atoms:
1 K 0.0000 0.5000 0.2500
2 K 0.0000 0.5000 0.7500
3 K 0.5000 0.0000 0.2500
4 K 0.5000 0.0000 0.7500
5 H 0.0000 0.0000 0.2031
6 H 0.0000 0.0000 0.7969
7 H 0.2089 0.2089 0.0000
8 H 0.2911 0.7089 0.5000
9 H 0.5000 0.5000 0.2969
10 H 0.5000 0.5000 0.7031
11 H 0.7089 0.2911 0.5000
12 H 0.7911 0.7911 0.0000
13 Pt 0.0000 0.0000 0.0000
14 Pt 0.5000 0.5000 0.5000

The 10 most intense peaks (5 to 70 degrees two-theta), by angle:
| d/Å | 2theta | I_rel |
| --- | --- | --- |
| 4.646 | 19.10 | 100 |
| 3.986 | 22.30 | 11 |
| 2.859 | 31.29 | 59 |
| 2.818 | 31.75 | 29 |
| 2.460 | 36.52 | 19 |
| 2.410 | 37.32 | 37 |
| 1.993 | 45.51 | 11 |
| 1.853 | 49.16 | 17 |
| 1.658 | 55.40 | 11 |
| 1.635 | 56.27 | 22 |

# 2
The following is a simulated X-ray diffraction stick pattern of LiMg6Al. It was derived from a structure optimized by DFT (PBE), using Cu Kα (weighted mean of Kα1 and Kα2).

Crystal structure
Cell lengths 5.0138, 6.3081, 6.3081 Å; angles 59.57, 90.00, 90.00 degrees
Fractional coordinates of all 8 atoms:
1 Li 0.0000 0.0000 0.0000
2 Mg 0.0000 0.0000 0.4986
3 Mg 0.0000 0.4986 0.0000
4 Mg 0.5000 0.1646 0.1646
5 Mg 0.5000 0.1687 0.6676
6 Mg 0.5000 0.6638 0.6638
7 Mg 0.5000 0.6676 0.1687
8 Al 0.0000 0.4989 0.4989

The 10 most intense peaks (5 to 70 degrees two-theta), by angle:
| d/Å | 2theta | I_rel |
| --- | --- | --- |
| 3.690 | 24.12 | 9 |
| 2.737 | 32.71 | 13 |
| 2.720 | 32.93 | 25 |
| 2.507 | 35.82 | 38 |
| 2.403 | 37.43 | 50 |
| 2.391 | 37.63 | 100 |
| 1.843 | 49.45 | 15 |
| 1.577 | 58.53 | 17 |
| 1.426 | 65.43 | 9 |
| 1.424 | 65.56 | 18 |

# 3
The following is a simulated X-ray diffraction stick pattern of Te2MoW2Se4. It was derived from a structure optimized by DFT (PBE), using Cu Kα (weighted mean of Kα1 and Kα2).

Crystal structure
Cell lengths 3.3923, 3.3923, 31.4744 Å; angles 90.00, 90.00, 120.00 degrees
Fractional coordinates of all 9 atoms:
1 Te 0.0000 0.0000 0.0596
2 Te 0.0000 0.0000 0.9404
3 Mo 0.3333 0.6667 0.0000
4 W 0.0000 0.0000 0.2314
5 W 0.0000 0.0000 0.7687
6 Se 0.3333 0.6667 0.1787
7 Se 0.3333 0.6667 0.2840
8 Se 0.3333 0.6667 0.7160
9 Se 0.3333 0.6667 0.8213

The 10 most intense peaks (5 to 70 degrees two-theta), by angle:
| d/Å | 2theta | I_rel |
| --- | --- | --- |
| 15.737 | 5.62 | 100 |
| 7.869 | 11.25 | 62 |
| 2.938 | 30.43 | 21 |
| 2.925 | 30.56 | 8 |
| 2.752 | 32.53 | 10 |
| 2.563 | 35.01 | 30 |
| 2.459 | 36.54 | 36 |
| 2.148 | 42.07 | 14 |
| 2.050 | 44.19 | 28 |
| 1.696 | 54.09 | 19 |

# 4
The following is a simulated X-ray diffraction stick pattern of Y2Ni12As7. It was derived from a structure optimized by DFT (PBE), using Cu Kα (weighted mean of Kα1 and Kα2).

Crystal structure
Cell lengths 9.3527, 9.3527, 3.8242 Å; angles 90.00, 90.00, 120.00 degrees
Fractional coordinates of all 21 atoms:
1 Y 0.0000 0.0000 0.0000
2 Y 0.3333 0.6667 0.5000
3 Ni 0.0476 0.7695 0.5000
4 Ni 0.0927 0.3804 0.0000
5 Ni 0.2305 0.2782 0.5000
6 Ni 0.2876 0.9073 0.0000
7 Ni 0.4557 0.2377 0.0000
8 Ni 0.5142 0.0544 0.5000
9 Ni 0.5403 0.4858 0.5000
10 Ni 0.6196 0.7124 0.0000
11 Ni 0.7218 0.9524 0.5000
12 Ni 0.7623 0.2180 0.0000
13 Ni 0.7820 0.5443 0.0000
14 Ni 0.9456 0.4597 0.5000
15 As 0.0728 0.6292 0.0000
16 As 0.2623 0.0460 0.5000
17 As 0.3708 0.4436 0.0000
18 As 0.5564 0.9272 0.0000
19 As 0.6667 0.3333 0.5000
20 As 0.7837 0.7377 0.5000
21 As 0.9540 0.2163 0.5000

The 10 most intense peaks (5 to 70 degrees two-theta), by angle:
| d/Å | 2theta | I_rel |
| --- | --- | --- |
| 2.700 | 33.18 | 9 |
| 2.390 | 37.64 | 100 |
| 2.246 | 40.14 | 9 |
| 2.206 | 40.92 | 15 |
| 2.025 | 44.76 | 12 |
| 1.937 | 46.91 | 34 |
| 1.912 | 47.55 | 31 |
| 1.790 | 51.04 | 8 |
| 1.768 | 51.72 | 26 |
| 1.671 | 54.94 | 17 |

# 5
The following is a simulated X-ray diffraction stick pattern of BNCl4. It was derived from a structure optimized by DFT (PBE), using Cu Kα (weighted mean of Kα1 and Kα2).

Crystal structure
Cell lengths 9.4086, 10.2264, 10.8890 Å; angles 96.29, 112.49, 104.06 degrees
Fractional coordinates of all 18 atoms:
1 B 0.0000 0.0000 0.0000
2 B 0.0580 0.2980 0.4772
3 B 0.9355 0.4779 0.5638
4 N 0.1356 0.3388 0.3885
5 N 0.9810 0.3854 0.5164
6 N 0.9991 0.1202 0.9435
7 Cl 0.0486 0.1356 0.5221
8 Cl 0.0864 0.8767 0.9568
9 Cl 0.1158 0.6741 0.3702
10 Cl 0.1174 0.7346 0.2020
11 Cl 0.1539 0.2074 0.9204
12 Cl 0.3138 0.3182 0.4207
13 Cl 0.4334 0.0660 0.1906
14 Cl 0.5168 0.6125 0.7983
15 Cl 0.6108 0.7562 0.7171
16 Cl 0.6408 0.2074 0.3258
17 Cl 0.8766 0.5996 0.6284
18 Cl 0.8916 0.9711 0.0982

The 10 most intense peaks (5 to 70 degrees two-theta), by angle:
| d/Å | 2theta | I_rel |
| --- | --- | --- |
| 8.267 | 10.70 | 52 |
| 7.821 | 11.31 | 100 |
| 6.699 | 13.22 | 59 |
| 4.832 | 18.36 | 18 |
| 4.129 | 21.52 | 58 |
| 4.019 | 22.12 | 17 |
| 3.911 | 22.74 | 17 |
| 3.770 | 23.60 | 32 |
| 3.598 | 24.74 | 27 |
| 3.115 | 28.66 | 17 |